1.
Structure and calculated powder diffractogram of U5Ga (a DFT-relaxed cell (PBE, Alexandria); Cu Kα).
Lines closer than 0.1° are merged.

Top 12 peaks for 10 to 90 degrees two-theta, in order of rising 2θ:
hkl 1 1 0, 18.11°, intensity 95
hkl 0 6 0, 34.38°, intensity 316
hkl 2 0 0, 34.80°, intensity 345
hkl 1 3 1, 38.82°, intensity 1000
hkl 2 6 0, 49.72°, intensity 228
hkl 0 0 2, 61.98°, intensity 68
hkl 1 9 1, 64.56°, intensity 183
hkl 3 3 1, 65.07°, intensity 237
hkl 0 6 2, 72.84°, intensity 77
hkl 2 0 2, 73.08°, intensity 86
hkl 2 6 2, 83.32°, intensity 112
hkl 3 9 1, 85.87°, intensity 90

Structure:
Lattice parameters (Å, degrees): 5.1567 15.6496 2.9946 90.00 90.00 90.00
Space group Cmmm (No. 65)
Symmetry-distinct sites (fractional):
U 0.0000 0.0000 0.0000 x2
U 0.0000 0.1555 0.5000 x4
U 0.0000 0.3235 0.0000 x4
Ga 0.0000 0.5000 0.5000 x2

=====

2.
Structure and calculated powder diffractogram of Pu2Ga9Pd6 (a DFT-relaxed cell (PBE, Alexandria); Cu Kα).
Lines closer than 0.1° are merged.

Top 12 peaks for 10 to 90 degrees two-theta, in order of rising 2θ:
hkl 1 0 1, 20.13°, intensity 261
hkl 1 0 3, 28.39°, intensity 157
hkl 1 1 0, 32.97°, intensity 381
hkl 1 0 4, 34.10°, intensity 135
hkl 2 0 0, 38.26°, intensity 206
hkl 1 1 3, 39.43°, intensity 1000
hkl 0 0 6, 42.79°, intensity 213
hkl 2 0 3, 44.05°, intensity 121
hkl 1 1 6, 55.06°, intensity 140
hkl 3 0 3, 63.24°, intensity 247
hkl 2 2 0, 69.16°, intensity 172
hkl 2 2 6, 84.86°, intensity 173

Structure:
Lattice parameters (Å, degrees): 5.4331 5.4331 12.6793 90.00 90.00 120.00
Space group P6/mmm (No. 191)
Symmetry-distinct sites (fractional):
Pu 0.0000 0.0000 0.1493 x2
Ga 0.0000 0.5000 0.0000 x3
Ga 0.0000 0.5000 0.3385 x6
Pd 0.3333 0.6667 0.1725 x4
Pd 0.3333 0.6667 0.5000 x2

=====

3.
Structure and calculated powder diffractogram of Ac2Nd2SmY (a DFT-relaxed cell (PBE, Alexandria); Cu Kα).
Lines closer than 0.1° are merged.

Top 12 peaks for 10 to 90 degrees two-theta, in order of rising 2θ:
hkl 2 0 2, 29.81°, intensity 1000
hkl 0 2 0, 30.08°, intensity 375
hkl 0 1 3, 30.23°, intensity 726
hkl 2 1 3, 39.02°, intensity 91
hkl 2 2 2, 42.88°, intensity 254
hkl 2 0 4, 43.03°, intensity 116
hkl 4 0 0, 49.34°, intensity 107
hkl 2 3 1, 53.23°, intensity 132
hkl 2 1 5, 53.44°, intensity 258
hkl 0 3 3, 53.50°, intensity 148
hkl 4 2 0, 58.93°, intensity 335
hkl 4 3 3, 75.74°, intensity 107

Structure:
Lattice parameters (Å, degrees): 7.3876 5.9427 10.2265 90.00 90.00 90.00
Space group Pmma (No. 51)
Symmetry-distinct sites (fractional):
Ac 0.0000 0.0000 0.0000 x2
Ac 0.2500 0.5000 0.1738 x2
Nd 0.2500 0.0000 0.3469 x2
Nd 0.2500 0.5000 0.8237 x2
Sm 0.2500 0.0000 0.6636 x2
Y 0.0000 0.5000 0.5000 x2

=====

4.
Structure and calculated powder diffractogram of PaAgHg2O6 (a DFT-relaxed cell (PBE, Alexandria); Cu Kα).
Lines closer than 0.1° are merged.

Top 12 peaks for 10 to 90 degrees two-theta, in order of rising 2θ:
hkl 0 0 1, 19.00°, intensity 99
hkl 3 1 -1, 28.65°, intensity 1000
hkl 0 2 0, 30.48°, intensity 213
hkl 2 0 -2, 34.28°, intensity 120
hkl 4 0 0, 34.70°, intensity 115
hkl 2 2 -2, 46.52°, intensity 154
hkl 4 2 0, 46.85°, intensity 125
hkl 6 0 -2, 49.58°, intensity 105
hkl 3 3 -1, 53.04°, intensity 183
hkl 5 1 -3, 57.98°, intensity 125
hkl 7 1 -1, 58.55°, intensity 95
hkl 6 2 -2, 59.32°, intensity 105

Structure:
Lattice parameters (Å, degrees): 11.5854 5.8664 5.2323 90.00 116.81 90.00
Space group C2/m (No. 12)
Symmetry-distinct sites (fractional):
Pa 0.0000 0.0000 0.0000 x2
Ag 0.0000 0.5000 0.5000 x2
Hg 0.2254 0.5000 0.1928 x4
O 0.0872 0.2692 0.8214 x8
O 0.1721 0.0000 0.3571 x4

=====

5.
Structure and calculated powder diffractogram of Ag2S (a DFT-relaxed cell (PBE, Alexandria); Cu Kα).
Lines closer than 0.1° are merged.

Top 12 peaks for 10 to 90 degrees two-theta, in order of rising 2θ:
hkl 1 0 1, 24.69°, intensity 469
hkl 2 2 0, 32.13°, intensity 566
hkl 2 1 1, 33.70°, intensity 1000
hkl 3 0 1, 40.94°, intensity 125
hkl 4 0 0, 46.08°, intensity 359
hkl 3 2 1, 47.25°, intensity 367
hkl 2 0 2, 50.63°, intensity 412
hkl 4 1 1, 52.97°, intensity 115
hkl 5 0 1, 63.32°, intensity 98
hkl 4 4 0, 67.22°, intensity 109
hkl 5 2 1, 68.13°, intensity 116
hkl 4 2 2, 70.86°, intensity 287

Structure:
Lattice parameters (Å, degrees): 7.8788 7.8788 4.0553 90.00 90.00 90.00
Space group I4_1/amd (No. 141, origin choice 2)
Symmetry-distinct sites (fractional):
Ag 0.0000 0.0000 0.0000 x8
S 0.0000 0.2500 0.3750 x4

=====

6.
Structure and calculated powder diffractogram of YbMn28 (a DFT-relaxed cell (PBE, Alexandria); Cu Kα).
Lines closer than 0.1° are merged.

Top 12 peaks for 10 to 90 degrees two-theta, in order of rising 2θ:
hkl 1 1 0, 14.34°, intensity 49
hkl 2 1 1, 24.97°, intensity 54
hkl 3 1 0, 32.41°, intensity 63
hkl 3 2 1, 38.56°, intensity 85
hkl 3 3 0, 43.98°, intensity 1000
hkl 3 3 2, 48.91°, intensity 189
hkl 4 2 2, 51.23°, intensity 115
hkl 4 3 1, 53.49°, intensity 67
hkl 4 4 4, 75.39°, intensity 50
hkl 5 5 0, 77.22°, intensity 99
hkl 7 2 1, 80.86°, intensity 221
hkl 6 5 1, 88.04°, intensity 39

Structure:
Lattice parameters (Å, degrees): 8.7354 8.7354 8.7354 90.00 90.00 90.00
Space group I-43m (No. 217)
Symmetry-distinct sites (fractional):
Yb 0.0000 0.0000 0.0000 x2
Mn 0.0344 0.3563 0.3563 x24
Mn 0.0901 0.0901 0.2903 x24
Mn 0.1872 0.1872 0.8128 x8

=====

7.
Structure and calculated powder diffractogram of Pm7RuS5 (a DFT-relaxed cell (PBE, Alexandria); Cu Kα).
Lines closer than 0.1° are merged.

Top 12 peaks for 10 to 90 degrees two-theta, in order of rising 2θ:
hkl 1 1 3, 25.85°, intensity 256
hkl 1 1 -4, 27.67°, intensity 412
hkl 2 0 7, 29.07°, intensity 1000
hkl 1 1 -5, 29.84°, intensity 234
hkl 3 1 2, 31.14°, intensity 882
hkl 3 1 -3, 32.24°, intensity 574
hkl 2 0 8, 32.47°, intensity 235
hkl 1 1 9, 41.04°, intensity 262
hkl 1 1 -10, 44.28°, intensity 238
hkl 6 0 -5, 45.06°, intensity 331
hkl 0 2 0, 45.67°, intensity 310
hkl 2 2 7, 55.05°, intensity 442

Structure:
Lattice parameters (Å, degrees): 13.2757 3.9727 24.2544 90.00 90.02 90.00
Space group Cm (No. 8)
Symmetry-distinct sites (fractional):
Pm 0.0000 0.0000 0.0000 x2
Pm 0.0002 0.0000 0.1414 x2
Pm 0.0585 0.5000 0.2849 x2
Pm 0.0580 0.5000 0.8565 x2
Pm 0.1082 0.0000 0.7109 x2
Pm 0.1091 0.0000 0.4301 x2
Pm 0.1565 0.5000 0.5707 x2
Pm 0.2381 0.5000 0.0707 x2
Pm 0.2862 0.0000 0.2110 x2
Pm 0.2859 0.0000 0.9302 x2
Pm 0.3362 0.5000 0.7850 x2
Pm 0.3367 0.5000 0.3565 x2
Pm 0.3942 0.0000 0.6413 x2
Pm 0.3948 0.0000 0.5000 x2
Ru 0.0070 0.0000 0.5712 x2
Ru 0.3876 0.0000 0.0708 x2
S 0.1458 0.5000 0.1786 x2
S 0.1455 0.5000 0.9627 x2
S 0.1970 0.0000 0.8206 x2
S 0.1977 0.0000 0.3206 x2
S 0.2493 0.5000 0.4628 x2
S 0.2487 0.5000 0.6787 x2
S 0.4221 0.5000 0.2488 x2
S 0.4217 0.5000 0.8925 x2
S 0.4731 0.0000 0.3925 x2
S 0.4725 0.0000 0.7488 x2

=====

8.
Structure and calculated powder diffractogram of Pr3Ho3Tm4 (a DFT-relaxed cell (PBE, Alexandria); Cu Kα).
Lines closer than 0.1° are merged.

Top 12 peaks for 10 to 90 degrees two-theta, in order of rising 2θ:
hkl 0 2 4, 29.87°, intensity 322
hkl 0 4 2, 29.98°, intensity 322
hkl 1 2 2, 30.88°, intensity 318
hkl 1 1 3, 32.34°, intensity 1000
hkl 0 1 5, 34.14°, intensity 83
hkl 0 5 1, 34.33°, intensity 80
hkl 1 4 2, 38.90°, intensity 115
hkl 2 0 0, 49.74°, intensity 125
hkl 1 4 6, 55.54°, intensity 99
hkl 1 6 4, 55.65°, intensity 96
hkl 2 4 2, 59.14°, intensity 189
hkl 1 8 8, 86.64°, intensity 82

Structure:
Lattice parameters (Å, degrees): 3.6660 13.3148 13.3958 90.00 90.00 90.00
Space group Amm2 (No. 38)
Symmetry-distinct sites (fractional):
Pr 0.0000 0.0000 0.0000 x2
Pr 0.0000 0.1748 0.6731 x4
Ho 0.0000 0.0000 0.3479 x2
Ho 0.5000 0.2453 0.4213 x4
Tm 0.5000 0.0000 0.5476 x2
Tm 0.5000 0.0000 0.7978 x2
Tm 0.5000 0.1231 0.1768 x4

=====

9.
Structure and calculated powder diffractogram of Ce3Zn2Ga3 (a DFT-relaxed cell (PBE, Alexandria); Cu Kα).
Lines closer than 0.1° are merged.

Top 12 peaks for 10 to 90 degrees two-theta, in order of rising 2θ:
hkl 0 2 3, 24.63°, intensity 171
hkl 1 1 4, 32.44°, intensity 1000
hkl 1 3 1, 32.76°, intensity 586
hkl 0 4 0, 33.78°, intensity 259
hkl 0 2 5, 34.70°, intensity 196
hkl 0 0 6, 36.43°, intensity 208
hkl 1 3 3, 37.11°, intensity 376
hkl 0 4 3, 38.52°, intensity 139
hkl 2 0 0, 40.08°, intensity 440
hkl 1 3 4, 40.58°, intensity 379
hkl 2 4 0, 53.39°, intensity 139
hkl 2 0 8, 65.25°, intensity 141

Structure:
Lattice parameters (Å, degrees): 4.4999 10.6152 14.7989 90.00 90.00 90.00
Space group Cmcm (No. 63)
Symmetry-distinct sites (fractional):
Ce 0.0000 0.0972 0.1103 x8
Ce 0.0000 0.3707 0.2500 x4
Zn 0.0000 0.2037 0.5964 x8
Ga 0.0000 0.3361 0.7500 x4
Ga 0.0000 0.3899 0.0389 x8

=====

10.
Structure and calculated powder diffractogram of SnP3O9 (a DFT-relaxed cell (PBE, Alexandria); Cu Kα).
Lines closer than 0.1° are merged.

Top 12 peaks for 10 to 90 degrees two-theta, in order of rising 2θ:
hkl 1 0 0, 14.74°, intensity 1000
hkl 1 0 2, 22.49°, intensity 847
hkl 1 1 1, 27.07°, intensity 151
hkl 2 0 0, 29.74°, intensity 129
hkl 2 -1 2, 30.90°, intensity 400
hkl 2 0 2, 34.40°, intensity 234
hkl 2 1 0, 39.69°, intensity 152
hkl 2 -1 4, 43.23°, intensity 116
hkl 3 -1 2, 43.42°, intensity 125
hkl 2 0 4, 45.92°, intensity 111
hkl 3 -1 4, 53.35°, intensity 201
hkl 4 -2 2, 55.84°, intensity 90

Structure:
Lattice parameters (Å, degrees): 6.9378 6.9378 10.4978 90.00 90.00 120.00
Space group P312 (No. 149)
Symmetry-distinct sites (fractional):
Sn 0.0000 0.0000 0.0000 x1
Sn 0.0000 0.0000 0.5000 x1
P 0.3964 0.1250 0.2226 x6
O 0.2450 0.0008 0.1104 x6
O 0.3060 0.0551 0.3529 x6
O 0.4889 0.1021 0.8023 x6

=====

11.
Structure and calculated powder diffractogram of Ac3U2O9 (a DFT-relaxed cell (PBE, Alexandria); Cu Kα).
Lines closer than 0.1° are merged.

Top 12 peaks for 10 to 90 degrees two-theta, in order of rising 2θ:
hkl 1 0 5, 26.38°, intensity 1000
hkl 0 0 10, 29.91°, intensity 148
hkl 1 1 0, 30.86°, intensity 255
hkl 1 1 10, 43.52°, intensity 284
hkl 2 0 0, 44.21°, intensity 166
hkl 1 0 15, 50.99°, intensity 143
hkl 2 1 5, 52.21°, intensity 321
hkl 2 0 10, 54.30°, intensity 120
hkl 2 1 15, 69.74°, intensity 116
hkl 3 0 5, 70.76°, intensity 67
hkl 3 1 10, 80.86°, intensity 97
hkl 3 2 5, 87.34°, intensity 81

Structure:
Lattice parameters (Å, degrees): 4.0977 4.0977 29.8695 90.00 90.00 90.00
Space group I-4m2 (No. 119)
Symmetry-distinct sites (fractional):
Ac 0.0000 0.0000 0.0000 x2
Ac 0.0000 0.0000 0.4076 x4
U 0.0000 0.0000 0.2007 x4
O 0.0000 0.5000 0.0512 x4
O 0.0000 0.5000 0.1630 x4
O 0.0000 0.5000 0.2500 x2
O 0.0000 0.5000 0.5556 x4
O 0.0000 0.5000 0.6979 x4

=====

12.
Structure and calculated powder diffractogram of Rb2ZrBeS4 (a DFT-relaxed cell (PBE, Alexandria); Cu Kα).
Lines closer than 0.1° are merged.

Top 12 peaks for 10 to 90 degrees two-theta, in order of rising 2θ:
hkl 1 1 0, 11.73°, intensity 261
hkl 0 2 0, 14.90°, intensity 270
hkl 2 2 0, 23.59°, intensity 736
hkl 0 0 2, 23.93°, intensity 847
hkl 0 4 0, 30.06°, intensity 1000
hkl 2 2 -2, 33.58°, intensity 652
hkl 2 2 2, 34.12°, intensity 693
hkl 4 0 0, 36.84°, intensity 265
hkl 0 4 2, 38.78°, intensity 432
hkl 4 4 0, 48.26°, intensity 238
hkl 0 0 4, 48.99°, intensity 246
hkl 0 4 4, 58.56°, intensity 271

Structure:
Lattice parameters (Å, degrees): 9.7610 11.8901 7.4389 90.00 91.15 90.00
Space group C2/c (No. 15)
Symmetry-distinct sites (fractional):
Rb 0.0000 0.0000 0.0000 x4
Rb 0.2500 0.2500 0.0000 x4
Zr 0.0000 0.5000 0.0000 x4
Be 0.2500 0.2500 0.5000 x4
S 0.0587 0.2713 0.5040 x8
S 0.1829 0.4989 0.2545 x8